# 1
Diffraction record for Cs2CaRuO6. The PXRD pattern is theoretical, not measured: it uses a cell relaxed with PBE and Cu Kα (λ = 1.5418 Å).
No peak broadening, texture or thermal motion is included.

Structural model:
```
data_Cs2CaRuO6
_space_group_name_H-M_alt 'P -3 m 1'
_space_group_IT_number 164
_space_group_name_Hall '-P 3 2"'
_cell_length_a 6.5616
_cell_length_b 6.5616
_cell_length_c 5.8281
_cell_angle_alpha 90.00
_cell_angle_beta 90.00
_cell_angle_gamma 120.00
loop_
_atom_site_label
_atom_site_fract_x
_atom_site_fract_y
_atom_site_fract_z
_atom_site_occupancy
Cs1 0.3333 0.6667 0.3402 1
Ca1 0.0000 0.0000 0.0000 1
Ru1 0.0000 0.0000 0.5000 1
O1 0.1338 0.2675 0.6936 1
```

Most intense lines, 2θ = 15–90°, in order of rising 2θ:
2theta	I/Imax
15.20	51
21.84	70
27.18	100
31.29	35
34.59	47
35.14	46
44.54	39
48.03	18
52.96	32
56.06	18

# 2
Diffraction record for AgTeCl2. The PXRD pattern is theoretical, not measured: it uses a cell relaxed with PBE and Cu Kα (λ = 1.5418 Å).
No peak broadening, texture or thermal motion is included.

Structural model:
```
data_AgTeCl2
_space_group_name_H-M_alt 'F m m m'
_space_group_IT_number 69
_space_group_name_Hall '-F 2 2'
_cell_length_a 6.588
_cell_length_b 7.851
_cell_length_c 7.894
_cell_angle_alpha 90.00
_cell_angle_beta 90.00
_cell_angle_gamma 90.00
loop_
_atom_site_label
_atom_site_fract_x
_atom_site_fract_y
_atom_site_fract_z
_atom_site_occupancy
Ag1 0.000 0.000 0.000 1
Te1 0.000 0.000 0.500 1
Cl1 0.000 0.250 0.250 1
```

Most intense lines, 2θ = 15–90°, in order of rising 2θ:
2theta	I/Imax
22.53	33
22.65	33
27.07	80
32.16	100
35.54	44
42.52	89
45.99	18
54.18	21
54.42	21
65.89	23

# 3
Diffraction record for Tl3SeI. The PXRD pattern is theoretical, not measured: it uses a cell relaxed with PBE and Cu Kα (λ = 1.5418 Å).
No peak broadening, texture or thermal motion is included.

Structural model:
```
data_Tl3SeI
_space_group_name_H-M_alt 'R -3'
_space_group_IT_number 148
_space_group_name_Hall '-R 3'
_cell_length_a 7.7434
_cell_length_b 7.7434
_cell_length_c 22.3342
_cell_angle_alpha 90.00
_cell_angle_beta 90.00
_cell_angle_gamma 120.00
loop_
_atom_site_label
_atom_site_fract_x
_atom_site_fract_y
_atom_site_fract_z
_atom_site_occupancy
Tl1 0.0145 0.4584 0.0927 1
Se1 0.0000 0.0000 0.3217 1
I1 0.0000 0.0000 0.1069 1
```

Most intense lines, 2θ = 15–90°, in order of rising 2θ:
2theta	I/Imax
23.91	44
25.94	38
26.89	77
31.11	54
33.41	100
36.35	18
38.99	19
46.94	24
48.99	26
57.36	17

# 4
Diffraction record for RbLiB2. The PXRD pattern is theoretical, not measured: it uses a cell relaxed with PBE and Cu Kα (λ = 1.5418 Å).
No peak broadening, texture or thermal motion is included.

Structural model:
```
data_RbLiB2
_space_group_name_H-M_alt 'I 41/a m d'
_space_group_IT_number 141
_cell_length_a 3.630
_cell_length_b 3.630
_cell_length_c 18.284
_cell_angle_alpha 90.00
_cell_angle_beta 90.00
_cell_angle_gamma 90.00
loop_
_space_group_symop_operation_xyz
'x,y,z'
'-x,-y,-z'
'-y+1/4,x+3/4,z+1/4'
'y+1/4,-x+3/4,-z+1/4'
'-x+1/2,-y,z+1/2'
'x+1/2,y,-z+1/2'
'y+1/4,-x+1/4,z+3/4'
'-y+1/4,x+1/4,-z+3/4'
'x,-y,-z'
'-x,y,z'
'-y+1/4,-x+1/4,-z+3/4'
'y+1/4,x+1/4,z+3/4'
'-x+1/2,y,-z+1/2'
'x+1/2,-y,z+1/2'
'y+1/4,x+3/4,-z+1/4'
'-y+1/4,-x+3/4,z+1/4'
'x+1/2,y+1/2,z+1/2'
'-x+1/2,-y+1/2,-z+1/2'
'-y+3/4,x+1/4,z+3/4'
'y+3/4,-x+1/4,-z+3/4'
'-x,-y+1/2,z'
'x,y+1/2,-z'
'y+3/4,-x+3/4,z+1/4'
'-y+3/4,x+3/4,-z+1/4'
'x+1/2,-y+1/2,-z+1/2'
'-x+1/2,y+1/2,z+1/2'
'-y+3/4,-x+3/4,-z+1/4'
'y+3/4,x+3/4,z+1/4'
'-x,y+1/2,-z'
'x,-y+1/2,z'
'y+3/4,x+1/4,-z+3/4'
'-y+3/4,-x+1/4,z+3/4'
loop_
_atom_site_label
_atom_site_fract_x
_atom_site_fract_y
_atom_site_fract_z
_atom_site_occupancy
Rb1 0.000 0.250 0.375 1
Li1 0.000 0.250 0.875 1
B1 0.000 0.000 0.000 1
```

Most intense lines, 2θ = 15–90°, in order of rising 2θ:
2theta	I/Imax
19.42	76
25.01	74
28.62	100
34.83	58
36.36	100
39.43	27
46.25	49
54.39	30
56.95	26
62.35	20

# 5
Diffraction record for Nd2SnBr. The PXRD pattern is theoretical, not measured: it uses a cell relaxed with PBE and Cu Kα (λ = 1.5418 Å).
No peak broadening, texture or thermal motion is included.

Structural model:
```
data_Nd2SnBr
_space_group_name_H-M_alt 'P 4/m m m'
_space_group_IT_number 123
_space_group_name_Hall '-P 4 2'
_cell_length_a 3.604
_cell_length_b 3.604
_cell_length_c 8.488
_cell_angle_alpha 90.00
_cell_angle_beta 90.00
_cell_angle_gamma 90.00
loop_
_atom_site_label
_atom_site_fract_x
_atom_site_fract_y
_atom_site_fract_z
_atom_site_occupancy
Nd1 0.000 0.000 0.248 1
Sn1 0.500 0.500 0.000 1
Br1 0.500 0.500 0.500 1
```

Most intense lines, 2θ = 15–90°, in order of rising 2θ:
2theta	I/Imax
32.60	100
35.22	41
42.60	12
50.66	14
56.43	21
61.55	32
68.29	12
71.66	10
83.67	7
85.14	7

# 6
Diffraction record for NdDyHo2. The PXRD pattern is theoretical, not measured: it uses a cell relaxed with PBE and Cu Kα (λ = 1.5418 Å).
No peak broadening, texture or thermal motion is included.

Structural model:
```
data_NdDyHo2
_space_group_name_H-M_alt 'P -3 m 1'
_space_group_IT_number 164
_space_group_name_Hall '-P 3 2"'
_cell_length_a 3.5820
_cell_length_b 3.5820
_cell_length_c 11.5052
_cell_angle_alpha 90.00
_cell_angle_beta 90.00
_cell_angle_gamma 120.00
loop_
_atom_site_label
_atom_site_fract_x
_atom_site_fract_y
_atom_site_fract_z
_atom_site_occupancy
Nd1 0.0000 0.0000 0.0000 1
Dy1 0.0000 0.0000 0.5000 1
Ho1 0.3333 0.6667 0.7470 1
```

Most intense lines, 2θ = 15–90°, in order of rising 2θ:
2theta	I/Imax
29.83	47
31.09	35
32.80	100
37.28	26
50.99	26
56.41	21
60.94	31
61.96	16
84.29	14
86.86	16

# 7
Diffraction record for DyTh2InC. The PXRD pattern is theoretical, not measured: it uses a cell relaxed with PBE and Cu Kα (λ = 1.5418 Å).
No peak broadening, texture or thermal motion is included.

Structural model:
```
data_DyTh2InC
_space_group_name_H-M_alt 'P 4/m m m'
_space_group_IT_number 123
_space_group_name_Hall '-P 4 2'
_cell_length_a 5.074
_cell_length_b 5.074
_cell_length_c 4.982
_cell_angle_alpha 90.00
_cell_angle_beta 90.00
_cell_angle_gamma 90.00
loop_
_atom_site_label
_atom_site_fract_x
_atom_site_fract_y
_atom_site_fract_z
_atom_site_occupancy
Dy1 0.000 0.000 0.000 1
Th1 0.000 0.500 0.500 1
In1 0.500 0.500 0.000 1
C1 0.000 0.000 0.500 1
```

Most intense lines, 2θ = 15–90°, in order of rising 2θ:
2theta	I/Imax
30.71	100
35.38	37
36.05	17
50.90	13
51.41	25
60.63	30
61.53	14
63.95	13
83.05	6
83.84	12

# 8
Diffraction record for PmSmRhI. The PXRD pattern is theoretical, not measured: it uses a cell relaxed with PBE and Cu Kα (λ = 1.5418 Å).
No peak broadening, texture or thermal motion is included.

Structural model:
```
data_PmSmRhI
_space_group_name_H-M_alt 'R 3 m'
_space_group_IT_number 160
_space_group_name_Hall 'R 3 -2"'
_cell_length_a 4.1436
_cell_length_b 4.1436
_cell_length_c 24.3340
_cell_angle_alpha 90.00
_cell_angle_beta 90.00
_cell_angle_gamma 120.00
loop_
_atom_site_label
_atom_site_fract_x
_atom_site_fract_y
_atom_site_fract_z
_atom_site_occupancy
Pm1 0.0000 0.0000 0.0000 1
Sm1 0.0000 0.0000 0.7892 1
Rh1 0.0000 0.0000 0.3950 1
I1 0.0000 0.0000 0.5627 1
```

Most intense lines, 2θ = 15–90°, in order of rising 2θ:
2theta	I/Imax
25.08	12
25.89	17
28.89	30
30.96	100
35.97	14
43.69	47
45.01	19
54.51	20
55.91	15
72.32	17

# 9
Diffraction record for ZnCoRu2. The PXRD pattern is theoretical, not measured: it uses a cell relaxed with PBE and Cu Kα (λ = 1.5418 Å).
No peak broadening, texture or thermal motion is included.

Structural model:
```
data_ZnCoRu2
_space_group_name_H-M_alt 'P 4 m m'
_space_group_IT_number 99
_cell_length_a 2.696
_cell_length_b 2.696
_cell_length_c 7.182
_cell_angle_alpha 90.00
_cell_angle_beta 90.00
_cell_angle_gamma 90.00
loop_
_space_group_symop_operation_xyz
'x,y,z'
'-y,x,z'
'-x,-y,z'
'y,-x,z'
'-x,y,z'
'y,x,z'
'x,-y,z'
'-y,-x,z'
loop_
_atom_site_label
_atom_site_fract_x
_atom_site_fract_y
_atom_site_fract_z
_atom_site_occupancy
Zn1 0.000 0.000 0.000 1
Co1 0.500 0.500 0.237 1
Ru1 0.000 0.000 0.475 1
Ru2 0.500 0.500 0.731 1
```

Most intense lines, 2θ = 15–90°, in order of rising 2θ:
2theta	I/Imax
35.56	5
37.57	2
41.90	100
47.70	34
50.85	13
62.25	2
69.76	10
72.28	18
84.82	24
89.60	10

- Which formula does entry 9 have?
  ZnCoRu2

Repeat the fourth record exactly.
Diffraction record for RbLiB2. The PXRD pattern is theoretical, not measured: it uses a cell relaxed with PBE and Cu Kα (λ = 1.5418 Å).
No peak broadening, texture or thermal motion is included.

Structural model:
```
data_RbLiB2
_space_group_name_H-M_alt 'I 41/a m d'
_space_group_IT_number 141
_cell_length_a 3.630
_cell_length_b 3.630
_cell_length_c 18.284
_cell_angle_alpha 90.00
_cell_angle_beta 90.00
_cell_angle_gamma 90.00
loop_
_space_group_symop_operation_xyz
'x,y,z'
'-x,-y,-z'
'-y+1/4,x+3/4,z+1/4'
'y+1/4,-x+3/4,-z+1/4'
'-x+1/2,-y,z+1/2'
'x+1/2,y,-z+1/2'
'y+1/4,-x+1/4,z+3/4'
'-y+1/4,x+1/4,-z+3/4'
'x,-y,-z'
'-x,y,z'
'-y+1/4,-x+1/4,-z+3/4'
'y+1/4,x+1/4,z+3/4'
'-x+1/2,y,-z+1/2'
'x+1/2,-y,z+1/2'
'y+1/4,x+3/4,-z+1/4'
'-y+1/4,-x+3/4,z+1/4'
'x+1/2,y+1/2,z+1/2'
'-x+1/2,-y+1/2,-z+1/2'
'-y+3/4,x+1/4,z+3/4'
'y+3/4,-x+1/4,-z+3/4'
'-x,-y+1/2,z'
'x,y+1/2,-z'
'y+3/4,-x+3/4,z+1/4'
'-y+3/4,x+3/4,-z+1/4'
'x+1/2,-y+1/2,-z+1/2'
'-x+1/2,y+1/2,z+1/2'
'-y+3/4,-x+3/4,-z+1/4'
'y+3/4,x+3/4,z+1/4'
'-x,y+1/2,-z'
'x,-y+1/2,z'
'y+3/4,x+1/4,-z+3/4'
'-y+3/4,-x+1/4,z+3/4'
loop_
_atom_site_label
_atom_site_fract_x
_atom_site_fract_y
_atom_site_fract_z
_atom_site_occupancy
Rb1 0.000 0.250 0.375 1
Li1 0.000 0.250 0.875 1
B1 0.000 0.000 0.000 1
```

Most intense lines, 2θ = 15–90°, in order of rising 2θ:
2theta	I/Imax
19.42	76
25.01	74
28.62	100
34.83	58
36.36	100
39.43	27
46.25	49
54.39	30
56.95	26
62.35	20

Copy entry 9 word for word.
Diffraction record for ZnCoRu2. The PXRD pattern is theoretical, not measured: it uses a cell relaxed with PBE and Cu Kα (λ = 1.5418 Å).
No peak broadening, texture or thermal motion is included.

Structural model:
```
data_ZnCoRu2
_space_group_name_H-M_alt 'P 4 m m'
_space_group_IT_number 99
_cell_length_a 2.696
_cell_length_b 2.696
_cell_length_c 7.182
_cell_angle_alpha 90.00
_cell_angle_beta 90.00
_cell_angle_gamma 90.00
loop_
_space_group_symop_operation_xyz
'x,y,z'
'-y,x,z'
'-x,-y,z'
'y,-x,z'
'-x,y,z'
'y,x,z'
'x,-y,z'
'-y,-x,z'
loop_
_atom_site_label
_atom_site_fract_x
_atom_site_fract_y
_atom_site_fract_z
_atom_site_occupancy
Zn1 0.000 0.000 0.000 1
Co1 0.500 0.500 0.237 1
Ru1 0.000 0.000 0.475 1
Ru2 0.500 0.500 0.731 1
```

Most intense lines, 2θ = 15–90°, in order of rising 2θ:
2theta	I/Imax
35.56	5
37.57	2
41.90	100
47.70	34
50.85	13
62.25	2
69.76	10
72.28	18
84.82	24
89.60	10